Diffraction record for K4PrO4. The powder X-ray diffraction pattern is theoretical, not measured: it uses a crystal structure in OQMD, relaxed with PBE and Cu Kα (λ = 1.5418 Å).
Neutral-atom scattering factors, no anomalous dispersion.

Main lines, in order of rising 2θ (2θ from 10° to 90°):
15.4 deg, I = 38, hkl 1 0 1; 16.4 deg, I = 29, hkl 0 1 1; 17.8 deg, I = 28, hkl 0 1 -1; 19.6 deg, I = 26, hkl 1 0 -1; 28.1 deg, I = 26, hkl 1 1 3; 28.8 deg, I = 52, hkl 0 2 0; 28.9 deg, I = 49, hkl 1 1 -2; 29.1 deg, I = 49, hkl 2 0 1; 32.3 deg, I = 100, hkl 2 2 1; 35.1 deg, I = 48, hkl 1 -1 3; 48.9 deg, I = 30, hkl 1 3 -2; 49.1 deg, I = 30, hkl 2 -2 1

Lattice parameters (Å, degrees): 6.6413 6.7059 10.0376 78.92 71.77 67.82
Element x y z (fractional)
K (0.0178, 0.2683, 0.4343)
K (0.0847, 0.7527, 0.1916)
K (0.2492, 0.2409, 0.0217)
K (0.4523, 0.2341, 0.6055)
K (0.5477, 0.7659, 0.3945)
K (0.7508, 0.7591, 0.9783)
K (0.9153, 0.2473, 0.8084)
K (0.9822, 0.7317, 0.5657)
Pr (0.3566, 0.7061, 0.7653)
Pr (0.6434, 0.2939, 0.2347)
O (0.1320, 0.5117, 0.8058)
O (0.2136, 0.9713, 0.6150)
O (0.3210, 0.4928, 0.3711)
O (0.3436, 0.8569, 0.9476)
O (0.6564, 0.1431, 0.0524)
O (0.6790, 0.5072, 0.6289)
O (0.7864, 0.0287, 0.3850)
O (0.8680, 0.4883, 0.1942)